This entry pairs a crystal structure of Ba5V5O14 with its computed XRD peak list. Radiation: Cu Ka. Structure: a crystal structure in the Materials Project, relaxed with GGA+U.

Structural model:
abc: 13.474 13.474 10.180
angles: 111.94 111.94 25.27
Fractional positions:
Ba (0.038, 0.038, 0.204)
Ba (0.135, 0.132, 0.966)
Ba (0.288, 0.211, 0.749)
Ba (0.369, 0.364, 0.534)
Ba (0.463, 0.461, 0.295)
Ba (0.539, 0.537, 0.705)
Ba (0.636, 0.631, 0.466)
Ba (0.789, 0.712, 0.251)
Ba (0.868, 0.865, 0.034)
Ba (0.962, 0.962, 0.796)
V (0.007, 0.993, 0.500)
V (0.108, 0.104, 0.605)
V (0.187, 0.185, 0.353)
V (0.314, 0.315, 0.148)
V (0.395, 0.390, 0.893)
V (0.505, 0.495, 0.000)
V (0.610, 0.605, 0.107)
V (0.685, 0.686, 0.852)
V (0.815, 0.813, 0.647)
V (0.896, 0.892, 0.395)
O (0.048, 0.054, 0.702)
O (0.092, 0.586, 0.757)
O (0.105, 0.594, 0.267)
O (0.153, 0.152, 0.486)
O (0.167, 0.323, 0.074)
O (0.177, 0.334, 0.429)
O (0.183, 0.721, 0.530)
O (0.225, 0.672, 0.022)
O (0.279, 0.817, 0.470)
O (0.328, 0.775, 0.978)
O (0.346, 0.347, 0.012)
O (0.406, 0.895, 0.733)
O (0.414, 0.908, 0.243)
O (0.444, 0.450, 0.796)
O (0.550, 0.556, 0.204)
O (0.592, 0.088, 0.258)
O (0.606, 0.091, 0.767)
O (0.653, 0.654, 0.988)
O (0.666, 0.823, 0.571)
O (0.676, 0.225, 0.030)
O (0.677, 0.833, 0.926)
O (0.723, 0.176, 0.524)
O (0.775, 0.324, 0.970)
O (0.824, 0.277, 0.476)
O (0.848, 0.847, 0.514)
O (0.909, 0.394, 0.233)
O (0.912, 0.408, 0.742)
O (0.946, 0.952, 0.298)

Most intense lines, 2θ = 15–90°, low angle first:
2theta, d (Å), I_rel
28.15, 3.171, 82
30.37, 2.943, 100
38.30, 2.350, 15
41.83, 2.159, 34
42.02, 2.150, 13
52.56, 1.741, 19